# ZrTeAu
Theoretical powder XRD pattern, CuKα. Input: a structure optimized by DFT (PBE).

Peak list (6 most intense, 15° ≤ 2θ ≤ 90°, by angle)
2θ 26.02, I 133; 2θ 34.76, I 584; 2θ 36.70, I 1000; 2θ 49.97, I 209; 2θ 63.58, I 400; 2θ 67.32, I 164

Structural model:
```
data_ZrTeAu
_cell_length_a 5.5856
_cell_length_b 5.5856
_cell_length_c 5.5856
_cell_angle_alpha 141.86
_cell_angle_beta 141.86
_cell_angle_gamma 55.04
_symmetry_space_group_name_H-M 'P 1'
_symmetry_Int_Tables_number 1
loop_
_symmetry_equiv_pos_as_xyz
'x,y,z'
loop_
_atom_site_label
_atom_site_type_symbol
_atom_site_fract_x
_atom_site_fract_y
_atom_site_fract_z
Zr1 Zr 0.0000 0.0000 0.0000
Te1 Te 0.6640 0.6640 0.0000
Au1 Au 0.3414 0.3414 0.0000
```


# TmAl11Ni
Theoretical powder XRD pattern, CuKα. Input: a structure optimized by DFT (PBE).

Peak list (6 most intense, 15° ≤ 2θ ≤ 90°, by angle)
2θ 20.12, I 851; 2θ 26.60, I 642; 2θ 28.50, I 716; 2θ 33.51, I 734; 2θ 39.06, I 1000; 2θ 39.74, I 810

Structural model:
```
data_TmAl11Ni
_cell_length_a 6.7772
_cell_length_b 6.7772
_cell_length_c 7.1600
_cell_angle_alpha 96.77
_cell_angle_beta 96.77
_cell_angle_gamma 135.60
_symmetry_space_group_name_H-M 'P 1'
_symmetry_Int_Tables_number 1
loop_
_symmetry_equiv_pos_as_xyz
'x,y,z'
loop_
_atom_site_label
_atom_site_type_symbol
_atom_site_fract_x
_atom_site_fract_y
_atom_site_fract_z
Tm1 Tm 0.0000 0.0000 0.0000
Al1 Al 0.0000 0.0000 0.5000
Al2 Al 0.0000 0.5000 0.0000
Al3 Al 0.0070 0.3544 0.3581
Al4 Al 0.2876 0.5009 0.7726
Al5 Al 0.3544 0.0070 0.3581
Al6 Al 0.4991 0.7124 0.2274
Al7 Al 0.5000 0.0000 0.0000
Al8 Al 0.5009 0.2876 0.7726
Al9 Al 0.6456 0.9930 0.6419
Al10 Al 0.7124 0.4991 0.2274
Al11 Al 0.9930 0.6456 0.6419
Ni1 Ni 0.5000 0.5000 0.5000
```


# Cr2MoSe
Theoretical powder XRD pattern, CuKα. Input: a structure optimized by DFT (PBE).

Peak list (6 most intense, 15° ≤ 2θ ≤ 90°, by angle)
2θ 38.72, I 1000; 2θ 46.69, I 169; 2θ 47.51, I 516; 2θ 63.55, I 255; 2θ 76.97, I 121; 2θ 82.46, I 182

Structural model:
```
data_Cr2MoSe
_cell_length_a 7.9635
_cell_length_b 7.9635
_cell_length_c 7.9635
_cell_angle_alpha 21.18
_cell_angle_beta 21.18
_cell_angle_gamma 21.18
_symmetry_space_group_name_H-M 'P 1'
_symmetry_Int_Tables_number 1
loop_
_symmetry_equiv_pos_as_xyz
'x,y,z'
loop_
_atom_site_label
_atom_site_type_symbol
_atom_site_fract_x
_atom_site_fract_y
_atom_site_fract_z
Cr1 Cr 0.0000 0.0000 0.0000
Cr2 Cr 0.2649 0.2649 0.2649
Mo1 Mo 0.7589 0.7589 0.7589
Se1 Se 0.5105 0.5105 0.5105
```


# TlHg12Pb3
Theoretical powder XRD pattern, CuKα. Input: a structure optimized by DFT (PBE).

Peak list (6 most intense, 15° ≤ 2θ ≤ 90°, by angle)
2θ 32.45, I 1000; 2θ 37.50, I 343; 2θ 37.93, I 164; 2θ 54.40, I 235; 2θ 64.49, I 287; 2θ 65.08, I 136

Structural model:
```
data_TlHg12Pb3
_cell_length_a 4.7969
_cell_length_b 4.7969
_cell_length_c 18.9750
_cell_angle_alpha 90.00
_cell_angle_beta 90.00
_cell_angle_gamma 90.00
_symmetry_space_group_name_H-M 'P 1'
_symmetry_Int_Tables_number 1
loop_
_symmetry_equiv_pos_as_xyz
'x,y,z'
loop_
_atom_site_label
_atom_site_type_symbol
_atom_site_fract_x
_atom_site_fract_y
_atom_site_fract_z
Tl1 Tl 0.0000 0.0000 0.0000
Hg1 Hg 0.0000 0.5000 0.1269
Hg2 Hg 0.0000 0.5000 0.3760
Hg3 Hg 0.0000 0.5000 0.6240
Hg4 Hg 0.0000 0.5000 0.8731
Hg5 Hg 0.5000 0.0000 0.1269
Hg6 Hg 0.5000 0.0000 0.3760
Hg7 Hg 0.5000 0.0000 0.6240
Hg8 Hg 0.5000 0.0000 0.8731
Hg9 Hg 0.5000 0.5000 0.0000
Hg10 Hg 0.5000 0.5000 0.2519
Hg11 Hg 0.5000 0.5000 0.5000
Hg12 Hg 0.5000 0.5000 0.7481
Pb1 Pb 0.0000 0.0000 0.2558
Pb2 Pb 0.0000 0.0000 0.5000
Pb3 Pb 0.0000 0.0000 0.7442
```


# Li4ZnGa4
Theoretical powder XRD pattern, CuKα. Input: a structure optimized by DFT (PBE).

Peak list (6 most intense, 15° ≤ 2θ ≤ 90°, by angle)
2θ 20.22, I 320; 2θ 26.05, I 368; 2θ 32.23, I 213; 2θ 39.18, I 1000; 2θ 43.73, I 364; 2θ 77.27, I 253

Structural model:
```
data_Li4ZnGa4
_cell_length_a 6.4821
_cell_length_b 6.4821
_cell_length_c 6.4821
_cell_angle_alpha 94.71
_cell_angle_beta 94.71
_cell_angle_gamma 146.71
_symmetry_space_group_name_H-M 'P 1'
_symmetry_Int_Tables_number 1
loop_
_symmetry_equiv_pos_as_xyz
'x,y,z'
loop_
_atom_site_label
_atom_site_type_symbol
_atom_site_fract_x
_atom_site_fract_y
_atom_site_fract_z
Li1 Li 0.1672 0.1672 0.3344
Li2 Li 0.1672 0.8328 0.0000
Li3 Li 0.8328 0.1672 0.0000
Li4 Li 0.8328 0.8328 0.6656
Zn1 Zn 0.5000 0.5000 0.0000
Ga1 Ga 0.1681 0.5000 0.6681
Ga2 Ga 0.5000 0.1681 0.6681
Ga3 Ga 0.5000 0.8319 0.3319
Ga4 Ga 0.8319 0.5000 0.3319
```


# Pr3Nd2Th2
Theoretical powder XRD pattern, CuKα. Input: a structure optimized by DFT (PBE).

Peak list (6 most intense, 15° ≤ 2θ ≤ 90°, by angle)
2θ 29.89, I 1000; 2θ 30.21, I 548; 2θ 31.36, I 448; 2θ 33.72, I 229; 2θ 39.68, I 241; 2θ 61.47, I 330

Structural model:
```
data_Pr3Nd2Th2
_cell_length_a 5.7052
_cell_length_b 3.4945
_cell_length_c 12.6085
_cell_angle_alpha 90.00
_cell_angle_beta 103.06
_cell_angle_gamma 90.00
_symmetry_space_group_name_H-M 'P 1'
_symmetry_Int_Tables_number 1
loop_
_symmetry_equiv_pos_as_xyz
'x,y,z'
loop_
_atom_site_label
_atom_site_type_symbol
_atom_site_fract_x
_atom_site_fract_y
_atom_site_fract_z
Pr1 Pr 0.0000 0.0000 0.0000
Pr2 Pr 0.2888 0.0000 0.5777
Pr3 Pr 0.7112 0.0000 0.4223
Nd1 Nd 0.4241 0.5000 0.8493
Nd2 Nd 0.5759 0.5000 0.1507
Th1 Th 0.1420 0.0000 0.2827
Th2 Th 0.8580 0.0000 0.7173
```


# CaSm2Mg4
Theoretical powder XRD pattern, CuKα. Input: a structure optimized by DFT (PBE).

Peak list (6 most intense, 15° ≤ 2θ ≤ 90°, by angle)
2θ 20.32, I 719; 2θ 24.24, I 411; 2θ 32.79, I 986; 2θ 32.95, I 1000; 2θ 47.18, I 351; 2θ 58.78, I 545

Structural model:
```
data_CaSm2Mg4
_cell_length_a 8.4287
_cell_length_b 8.4287
_cell_length_c 8.4287
_cell_angle_alpha 37.63
_cell_angle_beta 37.63
_cell_angle_gamma 37.63
_symmetry_space_group_name_H-M 'P 1'
_symmetry_Int_Tables_number 1
loop_
_symmetry_equiv_pos_as_xyz
'x,y,z'
loop_
_atom_site_label
_atom_site_type_symbol
_atom_site_fract_x
_atom_site_fract_y
_atom_site_fract_z
Ca1 Ca 0.0000 0.0000 0.0000
Sm1 Sm 0.2817 0.2817 0.2817
Sm2 Sm 0.7183 0.7183 0.7183
Mg1 Mg 0.1380 0.1380 0.1380
Mg2 Mg 0.4298 0.4298 0.4298
Mg3 Mg 0.5702 0.5702 0.5702
Mg4 Mg 0.8620 0.8620 0.8620
```


# Na8Cd3Ag
Theoretical powder XRD pattern, CuKα. Input: a structure optimized by DFT (PBE).

Peak list (6 most intense, 15° ≤ 2θ ≤ 90°, by angle)
2θ 20.80, I 1000; 2θ 33.96, I 147; 2θ 34.06, I 146; 2θ 34.43, I 565; 2θ 40.20, I 358; 2θ 40.93, I 170

Structural model:
```
data_Na8Cd3Ag
_cell_length_a 8.9953
_cell_length_b 8.9862
_cell_length_c 7.4561
_cell_angle_alpha 65.57
_cell_angle_beta 65.44
_cell_angle_gamma 48.99
_symmetry_space_group_name_H-M 'P 1'
_symmetry_Int_Tables_number 1
loop_
_symmetry_equiv_pos_as_xyz
'x,y,z'
loop_
_atom_site_label
_atom_site_type_symbol
_atom_site_fract_x
_atom_site_fract_y
_atom_site_fract_z
Na1 Na 0.1210 0.6350 0.8790
Na2 Na 0.1218 0.6358 0.3642
Na3 Na 0.3642 0.8782 0.1218
Na4 Na 0.3650 0.8790 0.6350
Na5 Na 0.6350 0.1210 0.3650
Na6 Na 0.6358 0.1218 0.8782
Na7 Na 0.8782 0.3642 0.6358
Na8 Na 0.8790 0.3650 0.1210
Cd1 Cd 0.2500 0.2500 0.2500
Cd2 Cd 0.5000 0.5000 0.5000
Cd3 Cd 0.7500 0.7500 0.7500
Ag1 Ag 0.0000 0.0000 0.0000
```


# Y2In3Ga3
Theoretical powder XRD pattern, CuKα. Input: a structure optimized by DFT (PBE).

Peak list (6 most intense, 15° ≤ 2θ ≤ 90°, by angle)
2θ 34.71, I 1000; 2θ 39.24, I 175; 2θ 40.33, I 165; 2θ 41.29, I 154; 2θ 68.22, I 127; 2θ 69.71, I 124

Structural model:
```
data_Y2In3Ga3
_cell_length_a 4.3729
_cell_length_b 4.4727
_cell_length_c 9.1837
_cell_angle_alpha 90.00
_cell_angle_beta 90.00
_cell_angle_gamma 90.00
_symmetry_space_group_name_H-M 'P 1'
_symmetry_Int_Tables_number 1
loop_
_symmetry_equiv_pos_as_xyz
'x,y,z'
loop_
_atom_site_label
_atom_site_type_symbol
_atom_site_fract_x
_atom_site_fract_y
_atom_site_fract_z
Y1 Y 0.0000 0.0000 0.2422
Y2 Y 0.0000 0.0000 0.7578
In1 In 0.0000 0.5000 0.0000
In2 In 0.0000 0.5000 0.5000
In3 In 0.5000 0.0000 0.5000
Ga1 Ga 0.5000 0.0000 0.0000
Ga2 Ga 0.5000 0.5000 0.2417
Ga3 Ga 0.5000 0.5000 0.7583
```


# PrNiAs3
Theoretical powder XRD pattern, CuKα. Input: a structure optimized by DFT (PBE).

Peak list (6 most intense, 15° ≤ 2θ ≤ 90°, by angle)
2θ 34.81, I 1000; 2θ 36.76, I 973; 2θ 38.56, I 336; 2θ 45.21, I 526; 2θ 59.62, I 328; 2θ 76.70, I 294

Structural model:
```
data_PrNiAs3
_cell_length_a 12.3372
_cell_length_b 5.6720
_cell_length_c 5.6737
_cell_angle_alpha 90.00
_cell_angle_beta 90.00
_cell_angle_gamma 90.00
_symmetry_space_group_name_H-M 'P 1'
_symmetry_Int_Tables_number 1
loop_
_symmetry_equiv_pos_as_xyz
'x,y,z'
loop_
_atom_site_label
_atom_site_type_symbol
_atom_site_fract_x
_atom_site_fract_y
_atom_site_fract_z
Pr1 Pr 0.1943 0.9998 0.2500
Pr2 Pr 0.1943 0.5002 0.7500
Pr3 Pr 0.8057 0.0002 0.7500
Pr4 Pr 0.8057 0.4998 0.2500
Ni1 Ni 0.4145 0.2500 0.0000
Ni2 Ni 0.4145 0.2500 0.5000
Ni3 Ni 0.5855 0.7500 0.0000
Ni4 Ni 0.5855 0.7500 0.5000
As1 As 0.0014 0.2500 0.0000
As2 As 0.0014 0.2500 0.5000
As3 As 0.2937 0.5039 0.2500
As4 As 0.2937 0.9961 0.7500
As5 As 0.4423 0.6134 0.7500
As6 As 0.4423 0.8866 0.2500
As7 As 0.5577 0.1134 0.7500
As8 As 0.5577 0.3866 0.2500
As9 As 0.7063 0.0039 0.2500
As10 As 0.7063 0.4961 0.7500
As11 As 0.9986 0.7500 0.0000
As12 As 0.9986 0.7500 0.5000
```


# PmEr12Sc5
Theoretical powder XRD pattern, CuKα. Input: a structure optimized by DFT (PBE).

Peak list (6 most intense, 15° ≤ 2θ ≤ 90°, by angle)
2θ 31.13, I 1000; 2θ 32.12, I 681; 2θ 32.37, I 593; 2θ 33.12, I 630; 2θ 38.01, I 627; 2θ 63.24, I 579

Structural model:
```
data_PmEr12Sc5
_cell_length_a 5.9970
_cell_length_b 5.9970
_cell_length_c 16.8383
_cell_angle_alpha 93.40
_cell_angle_beta 93.40
_cell_angle_gamma 120.00
_symmetry_space_group_name_H-M 'P 1'
_symmetry_Int_Tables_number 1
loop_
_symmetry_equiv_pos_as_xyz
'x,y,z'
loop_
_atom_site_label
_atom_site_type_symbol
_atom_site_fract_x
_atom_site_fract_y
_atom_site_fract_z
Pm1 Pm 0.0000 0.0000 0.0000
Er1 Er 0.0554 0.3924 0.1667
Er2 Er 0.1129 0.1129 0.3377
Er3 Er 0.2201 0.5535 0.6617
Er4 Er 0.2814 0.2814 0.8334
Er5 Er 0.3924 0.0554 0.1667
Er6 Er 0.4465 0.7799 0.3383
Er7 Er 0.5535 0.2201 0.6617
Er8 Er 0.6076 0.9446 0.8333
Er9 Er 0.7186 0.7186 0.1666
Er10 Er 0.7799 0.4465 0.3383
Er11 Er 0.8871 0.8871 0.6623
Er12 Er 0.9446 0.6076 0.8333
Sc1 Sc 0.1660 0.8340 0.5000
Sc2 Sc 0.3333 0.6667 0.0000
Sc3 Sc 0.5000 0.5000 0.5000
Sc4 Sc 0.6667 0.3333 0.0000
Sc5 Sc 0.8340 0.1660 0.5000
```


# Ac2SbN
Theoretical powder XRD pattern, CuKα. Input: a structure optimized by DFT (PBE).

Peak list (6 most intense, 15° ≤ 2θ ≤ 90°, by angle)
2θ 28.15, I 314; 2θ 28.44, I 1000; 2θ 29.58, I 183; 2θ 35.51, I 175; 2θ 41.29, I 169; 2θ 50.01, I 216

Structural model:
```
data_Ac2SbN
_cell_length_a 7.4018
_cell_length_b 7.4018
_cell_length_c 6.3398
_cell_angle_alpha 90.00
_cell_angle_beta 90.00
_cell_angle_gamma 131.85
_symmetry_space_group_name_H-M 'P 1'
_symmetry_Int_Tables_number 1
loop_
_symmetry_equiv_pos_as_xyz
'x,y,z'
loop_
_atom_site_label
_atom_site_type_symbol
_atom_site_fract_x
_atom_site_fract_y
_atom_site_fract_z
Ac1 Ac 0.0874 0.3016 0.0000
Ac2 Ac 0.3016 0.0874 0.5000
Ac3 Ac 0.6984 0.9126 0.5000
Ac4 Ac 0.9126 0.6984 0.0000
Sb1 Sb 0.0000 0.5000 0.5000
Sb2 Sb 0.5000 0.0000 0.0000
N1 N 0.0000 0.0000 0.2500
N2 N 0.0000 0.0000 0.7500
```


Which formula does entry 3 have?
Cr2MoSe